Calculated PXRD pattern of Na4B5C3 for Cu Kα (λ = 1.5418 Å), from DFT lattice parameters and positions (PBE).

Most intense lines, 2θ = 10–90°, in order of rising 2θ:
2.482 Å, rel. 178, (2 0 0); 2.145 Å, rel. 1000, (2 0 2); 2.130 Å, rel. 256, (0 0 4); 1.616 Å, rel. 100, (2 0 4); 1.433 Å, rel. 172, (2 2 0); 1.232 Å, rel. 125, (2 0 6); 1.191 Å, rel. 110, (4 0 2); 1.189 Å, rel. 170, (2 2 4)

a = 5.7321 Å, b = 5.7321 Å, c = 8.5191 Å
α = 90.00°, β = 90.00°, γ = 120.00°
Space group P6_3/mmc (No. 194)
One atom of each set of equivalent atoms:
Na  0.0000  0.0000  0.0000 (multiplicity 2)
Na  0.0000  0.5000  0.0000 (multiplicity 6)
B  0.1598  0.3197  0.2500 (multiplicity 6)
B  0.3333  0.6667  0.2500 (multiplicity 2)
B  0.3333  0.6667  0.7500 (multiplicity 2)
C  0.1668  0.3336  0.7500 (multiplicity 6)


Calculated PXRD pattern of NbAlCl8 for Cu Kα (λ = 1.5418 Å), from DFT lattice parameters and positions (PBE).

Most intense lines, 2θ = 10–90°, in order of rising 2θ:
7.854 Å, rel. 359, (1 1 0); 6.295 Å, rel. 315, (0 2 1); 5.861 Å, rel. 1000, (1 1 1); 4.364 Å, rel. 170, (2 0 0); 3.133 Å, rel. 616, (2 4 0); 2.791 Å, rel. 163, (0 2 3); 2.380 Å, rel. 193, (2 6 1); 1.891 Å, rel. 181, (2 6 3)

a = 8.729 Å, b = 18.005 Å, c = 8.806 Å
α = 90.00°, β = 90.00°, γ = 90.00°
Space group Cmcm (No. 63)
One atom of each set of equivalent atoms:
Nb  0.000  0.114  0.250 (multiplicity 4)
Al  0.000  0.314  0.250 (multiplicity 4)
Cl  0.000  0.134  0.511 (multiplicity 8)
Cl  0.000  0.376  0.047 (multiplicity 8)
Cl  0.190  0.231  0.250 (multiplicity 8)
Cl  0.203  0.036  0.250 (multiplicity 8)